Calculated X-ray powder pattern
Compound: CsLaPb2
Radiation: a wavelength of 1.5418 Å
Structure: a structure optimized by DFT (PBE)

Peak list (6 most intense, 10 to 90 degrees two-theta, most intense first)
2θ = 29.23°, rel. 100.0, hkl 1 0 2; 2θ = 28.77°, rel. 84.8, hkl 1 1 0; 2θ = 51.26°, rel. 42.5, hkl 2 1 2; 2θ = 41.14°, rel. 32.7, hkl 2 0 0; 2θ = 37.76°, rel. 29.7, hkl 1 0 3; 2θ = 10.40°, rel. 29.5, hkl 0 0 1

a b c (Å): 4.389 4.389 8.510
angles (deg): 90.00 90.00 90.00
Fractional positions:
Cs: 0.000 0.000 0.000
La: 0.000 0.000 0.500
Pb: 0.500 0.500 0.320
Pb: 0.500 0.500 0.680